Calculated X-ray diffraction stick pattern of KTl5Au2 for CuKα, from a PBE-relaxed structure.
Peak positions follow from Bragg's law for the DFT cell and can differ from measured ones.

The 10 most intense peaks (2θ = 15–90°), most intense first:
- 2.471 Å, I = 100
- 2.972 Å, I = 99
- 2.399 Å, I = 96
- 2.504 Å, I = 94
- 3.038 Å, I = 88
- 1.653 Å, I = 54
- 2.202 Å, I = 46
- 1.454 Å, I = 38
- 1.512 Å, I = 31
- 3.951 Å, I = 21

Crystal structure
abc: 4.4031 8.9504 12.0852
angles: 90.00 90.00 90.00
Positions (direct):
K 0.0000 0.0000 0.0000
K 0.5000 0.5000 0.5000
Tl 0.0000 0.2032 0.3548
Tl 0.0000 0.2032 0.6452
Tl 0.0000 0.5000 0.0000
Tl 0.0000 0.7968 0.3548
Tl 0.0000 0.7968 0.6452
Tl 0.5000 0.0000 0.5000
Tl 0.5000 0.2968 0.1452
Tl 0.5000 0.2968 0.8548
Tl 0.5000 0.7032 0.1452
Tl 0.5000 0.7032 0.8548
Au 0.0000 0.5000 0.2519
Au 0.0000 0.5000 0.7481
Au 0.5000 0.0000 0.2481
Au 0.5000 0.0000 0.7519



Calculated X-ray diffraction stick pattern of Li4Cu3BiP4O16 for CuKα, from a PBE-relaxed structure.
Peak positions follow from Bragg's law for the DFT cell and can differ from measured ones.

The 10 most intense peaks (2θ = 15–90°), most intense first:
- 3.183 Å, I = 100
- 3.571 Å, I = 93
- 5.189 Å, I = 80
- 3.664 Å, I = 78
- 3.040 Å, I = 64
- 2.627 Å, I = 55
- 4.481 Å, I = 49
- 2.402 Å, I = 47
- 2.527 Å, I = 47
- 4.314 Å, I = 44

Crystal structure
abc: 4.8577 6.3653 10.3902
angles: 90.00 92.83 90.00
Positions (direct):
Li 0.0000 0.2450 0.0000
Li 0.0000 0.7550 0.0000
Li 0.4463 0.2482 0.5814
Li 0.4463 0.7518 0.5814
Cu 0.0159 0.0000 0.7529
Cu 0.5126 0.5000 0.8355
Cu 0.8515 0.5000 0.3475
Bi 0.4053 0.0000 0.2559
P 0.0138 0.5000 0.6463
P 0.3330 0.5000 0.1361
P 0.5504 0.0000 0.9384
P 0.8631 0.0000 0.4663
O 0.1046 0.5000 0.5036
O 0.1504 0.3028 0.7124
O 0.1504 0.6972 0.7124
O 0.1784 0.3023 0.1861
O 0.1784 0.6977 0.1861
O 0.1796 0.0000 0.4713
O 0.2290 0.0000 0.9341
O 0.2665 0.5000 0.9869
O 0.6399 0.5000 0.1753
O 0.6706 0.1986 0.8752
O 0.6706 0.8014 0.8752
O 0.6719 0.0000 0.0820
O 0.6937 0.5000 0.6537
O 0.7326 0.1929 0.3898
O 0.7326 0.8071 0.3898
O 0.7415 0.0000 0.6019



Calculated X-ray diffraction stick pattern of La12PmY7 for CuKα, from a PBE-relaxed structure.
Peak positions follow from Bragg's law for the DFT cell and can differ from measured ones.

The 10 most intense peaks (2θ = 15–90°), most intense first:
- 2.961 Å, I = 100
- 2.810 Å, I = 41
- 2.821 Å, I = 38
- 2.985 Å, I = 20
- 2.696 Å, I = 16
- 1.741 Å, I = 13
- 2.392 Å, I = 13
- 3.158 Å, I = 12
- 1.748 Å, I = 11
- 1.649 Å, I = 10

Crystal structure
abc: 8.9043 8.9043 8.9043
angles: 89.63 89.63 89.63
Positions (direct):
La 0.0166 0.3566 0.8870
La 0.1130 0.9834 0.6434
La 0.2178 0.7674 0.3543
La 0.2326 0.6457 0.7822
La 0.3543 0.2178 0.7674
La 0.3566 0.8870 0.0166
La 0.6434 0.1130 0.9834
La 0.6457 0.7822 0.2326
La 0.7674 0.3543 0.2178
La 0.7822 0.2326 0.6457
La 0.8870 0.0166 0.3566
La 0.9834 0.6434 0.1130
Pm 0.5000 0.5000 0.5000
Y 0.0000 0.0000 0.0000
Y 0.1219 0.3566 0.4386
Y 0.3566 0.4386 0.1219
Y 0.4386 0.1219 0.3566
Y 0.5614 0.8781 0.6434
Y 0.6434 0.5614 0.8781
Y 0.8781 0.6434 0.5614